[1]
BiRu2O7: simulated XRD peak list (λ = 1.5418 Å (Cu Kα)), based on a cell relaxed with GGA-PBE.
Intensities are scaled so that the largest is 100.

Top 6 peaks for 10 to 90 degrees two-theta, most intense first:
| 2θ (°) | intensity |
| --- | --- |
| 30.2 | 100 |
| 30.3 | 98 |
| 50.5 | 74 |
| 15.0 | 71 |
| 17.4 | 52 |
| 35.0 | 40 |

Crystal structure
Lattice parameters (Å, degrees): 7.224 7.224 7.224 120.02 119.57 90.36
Fractional positions:
Bi1 0.231 0.250 0.481
Bi2 0.269 0.750 0.019
Ru1 0.250 0.245 0.995
Ru2 0.748 0.250 0.998
Ru3 0.750 0.255 0.505
Ru4 0.752 0.750 0.502
O1 0.073 0.933 0.765
O2 0.076 0.326 0.750
O3 0.078 0.313 0.150
O4 0.137 0.887 0.250
O5 0.363 0.613 0.750
O6 0.422 0.572 0.234
O7 0.424 0.174 0.250
O8 0.427 0.192 0.860
O9 0.663 0.928 0.350
O10 0.668 0.308 0.735
O11 0.700 0.950 0.750
O12 0.800 0.550 0.250
O13 0.832 0.567 0.640
O14 0.837 0.187 0.266

---

[2]
CsUNbO6: simulated XRD peak list (λ = 1.5418 Å (Cu Kα)), based on a cell relaxed with GGA-PBE.
Intensities are scaled so that the largest is 100.

Top 6 peaks for 10 to 90 degrees two-theta, most intense first:
| 2θ (°) | intensity |
| --- | --- |
| 11.8 | 100 |
| 23.4 | 91 |
| 23.7 | 56 |
| 27.4 | 56 |
| 27.5 | 43 |
| 25.1 | 39 |

Crystal structure
Lattice parameters (Å, degrees): 7.737 8.814 10.774 90.00 104.03 90.00
Fractional positions:
Cs1 0.037 0.229 0.359
Cs2 0.037 0.271 0.859
Cs3 0.963 0.729 0.141
Cs4 0.963 0.771 0.641
U1 0.487 0.017 0.178
U2 0.487 0.483 0.678
U3 0.513 0.517 0.322
U4 0.513 0.983 0.822
Nb1 0.388 0.651 0.944
Nb2 0.388 0.849 0.444
Nb3 0.612 0.151 0.556
Nb4 0.612 0.349 0.056
O1 0.154 0.635 0.929
O2 0.154 0.865 0.429
O3 0.248 0.059 0.127
O4 0.248 0.441 0.627
O5 0.273 0.021 0.769
O6 0.273 0.479 0.269
O7 0.428 0.712 0.778
O8 0.428 0.788 0.278
O9 0.466 0.646 0.505
O10 0.466 0.854 0.005
O11 0.467 0.059 0.389
O12 0.467 0.441 0.889
O13 0.533 0.559 0.111
O14 0.533 0.941 0.611
O15 0.534 0.146 0.995
O16 0.534 0.354 0.495
O17 0.572 0.212 0.722
O18 0.572 0.288 0.222
O19 0.727 0.521 0.731
O20 0.727 0.979 0.231
O21 0.752 0.559 0.373
O22 0.752 0.941 0.873
O23 0.846 0.135 0.571
O24 0.846 0.365 0.071

---

[3]
Mg6TiBiO8: simulated XRD peak list (λ = 1.5418 Å (Cu Kα)), based on a cell relaxed with GGA-PBE.
Intensities are scaled so that the largest is 100.

Top 6 peaks for 10 to 90 degrees two-theta, most intense first:
| 2θ (°) | intensity |
| --- | --- |
| 40.0 | 100 |
| 34.5 | 78 |
| 22.1 | 74 |
| 29.7 | 65 |
| 58.1 | 58 |
| 19.7 | 50 |

Crystal structure
Lattice parameters (Å, degrees): 4.510 4.510 8.952 90.00 90.00 90.00
Fractional positions:
Mg1 0.000 0.000 0.000
Mg2 0.000 0.500 0.234
Mg3 0.000 0.500 0.766
Mg4 0.500 0.000 0.234
Mg5 0.500 0.000 0.766
Mg6 0.500 0.500 0.000
Ti1 0.000 0.000 0.500
Bi1 0.500 0.500 0.500
O1 0.000 0.000 0.239
O2 0.000 0.000 0.761
O3 0.000 0.500 0.000
O4 0.000 0.500 0.500
O5 0.500 0.000 0.000
O6 0.500 0.000 0.500
O7 0.500 0.500 0.226
O8 0.500 0.500 0.774

---

[4]
Sr4GeN4: simulated XRD peak list (λ = 1.5418 Å (Cu Kα)), based on a cell relaxed with GGA-PBE.
Intensities are scaled so that the largest is 100.

Top 6 peaks for 10 to 90 degrees two-theta, most intense first:
| 2θ (°) | intensity |
| --- | --- |
| 30.5 | 100 |
| 29.6 | 63 |
| 29.7 | 58 |
| 36.5 | 54 |
| 32.6 | 46 |
| 39.0 | 35 |

Crystal structure
Lattice parameters (Å, degrees): 6.767 6.887 8.576 82.30 74.16 60.71
Fractional positions:
Sr1 0.036 0.227 0.057
Sr2 0.117 0.295 0.633
Sr3 0.263 0.774 0.556
Sr4 0.412 0.707 0.133
Sr5 0.588 0.293 0.867
Sr6 0.737 0.226 0.444
Sr7 0.883 0.705 0.367
Sr8 0.964 0.773 0.943
Ge1 0.376 0.248 0.250
Ge2 0.624 0.752 0.750
N1 0.211 0.080 0.340
N2 0.223 0.460 0.092
N3 0.293 0.923 0.840
N4 0.318 0.460 0.408
N5 0.682 0.540 0.592
N6 0.707 0.077 0.160
N7 0.777 0.540 0.908
N8 0.789 0.920 0.660

---

[5]
Ce4ZrO10: simulated XRD peak list (λ = 1.5418 Å (Cu Kα)), based on a cell relaxed with GGA-PBE.
Intensities are scaled so that the largest is 100.

Top 6 peaks for 10 to 90 degrees two-theta, most intense first:
| 2θ (°) | intensity |
| --- | --- |
| 28.5 | 100 |
| 47.4 | 37 |
| 33.1 | 37 |
| 47.7 | 35 |
| 28.7 | 32 |
| 56.4 | 29 |

Crystal structure
Lattice parameters (Å, degrees): 15.688 15.688 15.688 14.04 14.04 14.04
Fractional positions:
Ce1 0.103 0.103 0.103
Ce2 0.299 0.299 0.299
Ce3 0.701 0.701 0.701
Ce4 0.897 0.897 0.897
Zr1 0.500 0.500 0.500
O1 0.051 0.051 0.051
O2 0.153 0.153 0.153
O3 0.248 0.248 0.248
O4 0.350 0.350 0.350
O5 0.454 0.454 0.454
O6 0.546 0.546 0.546
O7 0.650 0.650 0.650
O8 0.752 0.752 0.752
O9 0.847 0.847 0.847
O10 0.949 0.949 0.949